Simulated powder diffractogram of YSc2WO8 for Cu Kα (weighted mean of Kα1 and Kα2), from a PBE+U-relaxed structure.
Neutral-atom scattering factors, no anomalous dispersion.

The 10 most intense peaks (2θ = 15–90°), by angle:
- 18.2°, intensity 68.1, (1 1 0)
- 22.7°, intensity 25.3, (1 1 1)
- 25.8°, intensity 66.7, (0 2 0)
- 25.9°, intensity 65.4, (2 0 0)
- 32.8°, intensity 100.0, (1 1 2)
- 36.9°, intensity 24.3, (2 2 0)
- 37.7°, intensity 30.8, (0 2 2)
- 50.1°, intensity 44.1, (1 3 2)
- 50.3°, intensity 44.0, (3 1 2)
- 63.9°, intensity 27.2, (3 3 2)

Crystal structure
Unit cell a=6.868 b=6.902 c=6.596 alpha=90.00 beta=90.00 gamma=90.00
Space group Cmmm (No. 65)
Symmetry-distinct sites (fractional):
Y  0.000  0.000  0.000
Sc  0.000  0.500  0.250
W  0.000  0.000  0.500
O  0.000  0.193  0.285
O  0.181  0.500  0.000
O  0.213  0.500  0.500